# PrSm3Mg8
Computed XRD peak list, CuKα. Input: a GGA-PBE-relaxed structure.
Kinematic intensities with the Lorentz-polarization factor, no thermal factor.

Top 10 peaks for 2θ from 10° to 80°, low angle first:
4.990 Å, rel. 61.4; 3.056 Å, rel. 100.0; 2.608 Å, rel. 75.7; 2.601 Å, rel. 25.5; 1.766 Å, rel. 30.6; 1.760 Å, rel. 10.1; 1.664 Å, rel. 26.0; 1.530 Å, rel. 11.4; 1.526 Å, rel. 11.3; 1.319 Å, rel. 8.9

Crystal structure
```
PrSm3Mg8
1.0
3.061 1.767 9.949
-3.061 1.767 9.949
0.000 -3.534 9.949
Pr Sm Mg
1 3 8
direct
0.000 0.000 0.000
0.375 0.375 0.375
0.500 0.500 0.500
0.875 0.875 0.875
0.188 0.188 0.188
0.437 0.437 0.937
0.437 0.937 0.437
0.439 0.938 0.938
0.688 0.688 0.688
0.937 0.437 0.437
0.938 0.439 0.938
0.938 0.938 0.439
```



# PrSm2Mg9
Computed XRD peak list, CuKα. Input: a GGA-PBE-relaxed structure.
Kinematic intensities with the Lorentz-polarization factor, no thermal factor.

Top 10 peaks for 2θ from 10° to 80°, low angle first:
5.179 Å, rel. 56.8; 4.954 Å, rel. 23.4; 3.304 Å, rel. 69.3; 3.036 Å, rel. 100.0; 2.620 Å, rel. 33.2; 2.589 Å, rel. 92.4; 1.800 Å, rel. 24.6; 1.753 Å, rel. 27.2; 1.652 Å, rel. 37.0; 1.518 Å, rel. 16.5

Crystal structure
```
PrSm2Mg9
1.0
3.037 1.753 9.906
-3.037 1.753 9.906
0.000 -3.506 9.906
Pr Sm Mg
1 2 9
direct
0.000 0.000 0.000
0.144 0.144 0.144
0.856 0.856 0.856
0.080 0.586 0.586
0.334 0.334 0.334
0.414 0.414 0.920
0.414 0.920 0.414
0.500 0.500 0.500
0.586 0.080 0.586
0.586 0.586 0.080
0.666 0.666 0.666
0.920 0.414 0.414
```



# PrSm4Mg3
Computed XRD peak list, CuKα. Input: a GGA-PBE-relaxed structure.
Kinematic intensities with the Lorentz-polarization factor, no thermal factor.

Top 10 peaks for 2θ from 10° to 80°, low angle first:
3.983 Å, rel. 27.1; 3.806 Å, rel. 12.5; 2.831 Å, rel. 25.9; 2.801 Å, rel. 26.6; 2.751 Å, rel. 100.0; 1.991 Å, rel. 18.8; 1.619 Å, rel. 18.8; 1.608 Å, rel. 19.8; 1.574 Å, rel. 9.4; 1.376 Å, rel. 11.2

Crystal structure
```
PrSm4Mg3
1.0
3.806 0.000 0.000
0.000 5.603 0.000
0.000 0.000 11.325
Pr Sm Mg
1 4 3
direct
0.000 0.000 0.000
0.500 0.000 0.266
0.500 0.000 0.734
0.500 0.500 0.000
0.500 0.500 0.500
0.000 0.000 0.500
0.000 0.500 0.252
0.000 0.500 0.748
```



# PrSm5Mg3
Computed XRD peak list, CuKα. Input: a GGA-PBE-relaxed structure.
Kinematic intensities with the Lorentz-polarization factor, no thermal factor.

Top 10 peaks for 2θ from 10° to 80°, low angle first:
6.073 Å, rel. 18.6; 3.938 Å, rel. 32.3; 3.625 Å, rel. 34.0; 3.278 Å, rel. 100.0; 3.037 Å, rel. 68.0; 2.827 Å, rel. 25.8; 2.715 Å, rel. 51.0; 2.624 Å, rel. 32.6; 2.607 Å, rel. 26.3; 2.592 Å, rel. 18.7

Crystal structure
```
PrSm5Mg3
1.0
6.780 -4.114 0.000
6.780 4.114 0.000
-1.374 0.000 10.876
Pr Sm Mg
2 10 6
direct
0.111 0.111 0.266
0.889 0.889 0.734
0.054 0.647 0.269
0.243 0.243 0.029
0.331 0.669 0.000
0.353 0.946 0.731
0.486 0.486 0.360
0.514 0.514 0.640
0.647 0.054 0.269
0.669 0.331 0.000
0.757 0.757 0.971
0.946 0.353 0.731
0.000 0.000 0.000
0.000 0.000 0.500
0.282 0.282 0.511
0.345 0.345 0.791
0.655 0.655 0.209
0.718 0.718 0.489
```



# PrSm8Mg6
Computed XRD peak list, CuKα. Input: a GGA-PBE-relaxed structure.
Kinematic intensities with the Lorentz-polarization factor, no thermal factor.

Top 10 peaks for 2θ from 10° to 80°, low angle first:
3.786 Å, rel. 78.0; 2.677 Å, rel. 100.0; 2.184 Å, rel. 17.8; 1.893 Å, rel. 18.0; 1.695 Å, rel. 14.7; 1.692 Å, rel. 16.2; 1.549 Å, rel. 8.5; 1.545 Å, rel. 27.9; 1.337 Å, rel. 5.7; 1.261 Å, rel. 6.2

Crystal structure
```
PrSm8Mg6
1.0
4.631 2.674 6.575
-4.631 2.674 6.575
0.000 -5.348 6.575
Pr Sm Mg
1 8 6
direct
0.000 0.000 0.000
0.119 0.785 0.452
0.215 0.548 0.881
0.334 0.334 0.334
0.452 0.119 0.785
0.548 0.881 0.215
0.666 0.666 0.666
0.785 0.452 0.119
0.881 0.215 0.548
0.047 0.382 0.712
0.288 0.953 0.618
0.382 0.712 0.047
0.618 0.288 0.953
0.712 0.047 0.382
0.953 0.618 0.288
```



# PrSm3Mg6
Computed XRD peak list, CuKα. Input: a GGA-PBE-relaxed structure.
Kinematic intensities with the Lorentz-polarization factor, no thermal factor.

Top 10 peaks for 2θ from 10° to 80°, low angle first:
3.835 Å, rel. 36.4; 3.803 Å, rel. 68.9; 2.707 Å, rel. 100.0; 2.691 Å, rel. 66.3; 2.676 Å, rel. 32.7; 2.196 Å, rel. 23.6; 1.901 Å, rel. 23.8; 1.708 Å, rel. 21.7; 1.558 Å, rel. 18.5; 1.551 Å, rel. 12.4

Crystal structure
```
PrSm3Mg6
1.0
9.424 0.000 0.000
0.000 5.352 0.000
-3.139 0.000 10.995
Pr Sm Mg
2 6 12
direct
0.054 0.250 0.393
0.946 0.750 0.607
0.245 0.250 0.996
0.351 0.750 0.795
0.461 0.250 0.605
0.539 0.750 0.395
0.649 0.250 0.205
0.755 0.750 0.004
0.049 0.750 0.904
0.145 0.250 0.700
0.147 0.750 0.195
0.246 0.750 0.492
0.342 0.250 0.292
0.442 0.750 0.099
0.558 0.250 0.901
0.658 0.750 0.708
0.754 0.250 0.508
0.853 0.250 0.805
0.855 0.750 0.300
0.951 0.250 0.096
```



# Pr2Sm7Mg2
Computed XRD peak list, CuKα. Input: a GGA-PBE-relaxed structure.
Kinematic intensities with the Lorentz-polarization factor, no thermal factor.

Top 10 peaks for 2θ from 10° to 80°, low angle first:
3.571 Å, rel. 36.6; 3.342 Å, rel. 34.7; 3.136 Å, rel. 38.0; 3.061 Å, rel. 61.8; 2.891 Å, rel. 50.0; 2.837 Å, rel. 70.1; 2.781 Å, rel. 39.3; 2.766 Å, rel. 100.0; 2.606 Å, rel. 37.7; 1.642 Å, rel. 40.2

Crystal structure
```
Pr2Sm7Mg2
1.0
4.446 -4.928 0.000
4.446 4.928 0.000
-2.780 0.000 8.241
Pr Sm Mg
2 7 2
direct
0.181 0.819 0.000
0.819 0.181 0.000
0.028 0.384 0.676
0.358 0.358 0.086
0.384 0.028 0.676
0.500 0.500 0.500
0.616 0.972 0.324
0.642 0.642 0.914
0.972 0.616 0.324
0.116 0.116 0.335
0.884 0.884 0.665
```



# Tb4PrSm2Mg
Computed XRD peak list, CuKα. Input: a GGA-PBE-relaxed structure.
Kinematic intensities with the Lorentz-polarization factor, no thermal factor.

Top 10 peaks for 2θ from 10° to 80°, low angle first:
2.893 Å, rel. 55.9; 2.793 Å, rel. 100.0; 2.045 Å, rel. 20.9; 1.911 Å, rel. 10.4; 1.650 Å, rel. 41.8; 1.595 Å, rel. 19.1; 1.446 Å, rel. 6.8; 1.396 Å, rel. 11.3; 1.294 Å, rel. 9.4; 1.284 Å, rel. 9.0

Crystal structure
```
Tb4PrSm2Mg
1.0
5.785 0.000 0.000
0.000 5.785 0.000
0.000 0.000 7.644
Tb Pr Sm Mg
4 1 2 1
direct
0.000 0.500 0.236
0.000 0.500 0.764
0.500 0.000 0.236
0.500 0.000 0.764
0.000 0.000 0.000
0.000 0.000 0.500
0.500 0.500 0.500
0.500 0.500 0.000
```



# Pr6Sm2YMg
Computed XRD peak list, CuKα. Input: a GGA-PBE-relaxed structure.
Kinematic intensities with the Lorentz-polarization factor, no thermal factor.

Top 10 peaks for 2θ from 10° to 80°, low angle first:
3.206 Å, rel. 46.1; 3.155 Å, rel. 31.4; 3.006 Å, rel. 16.9; 2.973 Å, rel. 100.0; 2.947 Å, rel. 59.0; 2.902 Å, rel. 88.6; 2.858 Å, rel. 25.0; 2.817 Å, rel. 20.6; 2.624 Å, rel. 38.6; 2.469 Å, rel. 19.7

Crystal structure
```
Pr6Sm2YMg
1.0
4.681 -7.851 0.000
4.681 7.851 0.000
-0.753 0.000 9.362
Pr Sm Y Mg
12 4 2 2
direct
0.007 0.432 0.796
0.137 0.782 0.552
0.218 0.863 0.948
0.276 0.500 0.395
0.432 0.007 0.296
0.500 0.276 0.895
0.500 0.724 0.105
0.568 0.993 0.704
0.724 0.500 0.605
0.782 0.137 0.052
0.863 0.218 0.448
0.993 0.568 0.204
0.212 0.319 0.048
0.319 0.212 0.548
0.681 0.788 0.452
0.788 0.681 0.952
0.024 0.976 0.250
0.976 0.024 0.750
0.422 0.578 0.750
0.578 0.422 0.250
```



# Pr3MgSn
Computed XRD peak list, CuKα. Input: a GGA-PBE-relaxed structure.
Kinematic intensities with the Lorentz-polarization factor, no thermal factor.

Top 10 peaks for 2θ from 10° to 80°, low angle first:
7.008 Å, rel. 31.0; 3.374 Å, rel. 36.2; 3.083 Å, rel. 73.5; 2.945 Å, rel. 100.0; 2.926 Å, rel. 62.2; 2.894 Å, rel. 33.9; 2.644 Å, rel. 42.0; 2.628 Å, rel. 30.7; 2.580 Å, rel. 48.7; 2.563 Å, rel. 57.6

Crystal structure
```
Pr3MgSn
1.0
5.946 -5.320 0.000
5.946 5.320 0.000
-4.161 0.000 9.740
Pr Mg Sn
12 4 4
direct
0.067 0.356 0.611
0.113 0.745 0.895
0.255 0.887 0.605
0.307 0.327 0.406
0.327 0.307 0.906
0.356 0.067 0.111
0.644 0.933 0.889
0.673 0.693 0.094
0.693 0.673 0.594
0.745 0.113 0.395
0.887 0.255 0.105
0.933 0.644 0.389
0.164 0.557 0.161
0.443 0.836 0.339
0.557 0.164 0.661
0.836 0.443 0.839
0.059 0.941 0.250
0.438 0.562 0.750
0.562 0.438 0.250
0.941 0.059 0.750
```



# Pr2Mg16Sn
Computed XRD peak list, CuKα. Input: a GGA-PBE-relaxed structure.
Kinematic intensities with the Lorentz-polarization factor, no thermal factor.

Top 10 peaks for 2θ from 10° to 80°, low angle first:
5.786 Å, rel. 33.1; 5.153 Å, rel. 99.7; 3.613 Å, rel. 72.4; 2.975 Å, rel. 86.5; 2.877 Å, rel. 31.4; 2.577 Å, rel. 82.1; 2.566 Å, rel. 100.0; 2.512 Å, rel. 38.4; 2.258 Å, rel. 33.5; 1.488 Å, rel. 28.7

Crystal structure
```
Pr2Mg16Sn
1.0
5.153 2.975 5.066
-5.153 2.975 5.066
0.000 -5.951 5.066
Pr Mg Sn
2 16 1
direct
0.000 0.000 0.000
0.348 0.348 0.348
0.021 0.021 0.516
0.021 0.516 0.021
0.172 0.676 0.676
0.322 0.322 0.844
0.322 0.844 0.322
0.365 0.675 0.983
0.365 0.983 0.675
0.516 0.021 0.021
0.675 0.365 0.983
0.675 0.983 0.365
0.676 0.172 0.676
0.676 0.676 0.172
0.766 0.766 0.766
0.844 0.322 0.322
0.983 0.365 0.675
0.983 0.675 0.365
0.572 0.572 0.572
```



# Pr3Mg2Sn4
Computed XRD peak list, CuKα. Input: a GGA-PBE-relaxed structure.
Kinematic intensities with the Lorentz-polarization factor, no thermal factor.

Top 10 peaks for 2θ from 10° to 80°, low angle first:
3.583 Å, rel. 17.7; 3.487 Å, rel. 36.9; 2.839 Å, rel. 100.0; 2.772 Å, rel. 43.1; 2.758 Å, rel. 13.7; 2.699 Å, rel. 26.8; 2.361 Å, rel. 32.1; 2.098 Å, rel. 14.3; 2.029 Å, rel. 13.7; 1.439 Å, rel. 17.0

Crystal structure
```
Pr3Mg2Sn4
1.0
4.722 0.000 0.000
-0.007 7.195 0.000
-2.352 -2.893 7.759
Pr Mg Sn
3 2 4
direct
0.000 0.000 0.000
0.133 0.604 0.268
0.867 0.396 0.732
0.329 0.006 0.659
0.671 0.994 0.341
0.214 0.242 0.426
0.494 0.695 0.988
0.506 0.305 0.012
0.786 0.758 0.574
```